Simulated XRD peak list
Compound: KLuMo2O8
Radiation: Cu Kα (λ = 1.5418 Å)
Structure: DFT lattice parameters and positions (GGA+U)
Intensities are scaled so that the largest is 100.

Most intense lines, 2θ = 10–90°, by angle:
| 2theta | d [Å] | I_rel | hkl |
| --- | --- | --- | --- |
| 22.68 | 3.921 | 46.6 | 1 3 0 |
| 28.80 | 3.100 | 100.0 | 1 1 2 |
| 29.54 | 3.024 | 38.8 | 0 4 2 |
| 29.89 | 2.989 | 53.3 | 1 5 0 |
| 35.30 | 2.543 | 12.3 | 2 0 0 |
| 36.83 | 2.440 | 11.8 | 0 6 2 |
| 45.34 | 2.000 | 15.0 | 0 0 4 |
| 46.67 | 1.946 | 36.0 | 2 4 2 |
| 51.93 | 1.761 | 18.1 | 2 6 2 |
| 53.29 | 1.719 | 18.0 | 1 9 2 |
| 55.26 | 1.662 | 17.2 | 1 5 4 |
| 59.43 | 1.555 | 11.5 | 3 1 2 |

```
KLuMo2O8
1.0
5.086 0.000 0.000
0.000 18.475 0.000
0.000 0.000 8.001
K Lu Mo O
4 4 8 32
Cartesian
0.000 4.231 2.000
0.000 14.245 6.001
2.543 5.007 6.001
2.543 13.469 2.000
0.000 0.109 6.001
0.000 18.366 2.000
2.543 9.129 2.000
2.543 9.347 6.001
0.114 7.394 4.124
0.114 11.081 0.124
2.428 1.843 0.124
2.428 16.632 4.124
2.657 1.843 3.877
2.657 16.632 7.877
4.971 7.394 7.877
4.971 11.081 3.877
0.505 5.756 7.813
0.505 12.720 3.813
1.201 7.441 2.690
1.201 11.034 6.691
1.240 0.635 4.054
1.240 17.840 0.053
1.249 7.567 5.541
1.249 10.908 1.541
1.294 1.670 1.541
1.294 16.805 5.541
1.303 8.603 0.053
1.303 9.873 4.054
1.342 1.796 6.691
1.342 16.679 2.690
2.037 3.482 3.813
2.037 14.993 7.813
3.048 3.482 0.187
3.048 14.993 4.188
3.743 1.796 5.311
3.743 16.679 1.310
3.783 8.603 3.947
3.783 9.873 7.948
3.792 1.670 2.459
3.792 16.805 6.460
3.837 7.567 6.460
3.837 10.908 2.459
3.846 0.635 7.948
3.846 17.840 3.947
3.885 7.441 1.310
3.885 11.034 5.311
4.580 5.756 4.188
4.580 12.720 0.187
```